1.
Simulated powder X-ray diffraction pattern
Compound: MgSi2
Radiation: Cu Kα
Structure: a DFT-relaxed cell (GGA-PBE, the Materials Project)
No peak broadening, texture or thermal motion is included.

Crystal structure
Cell: 23.8511 3.7090 5.3292 Å, 90.00 97.12 90.00°
Space group C2/m (No. 12)
Unique sites:
Mg 0.1116 0.0000 0.4339
Mg 0.2199 0.5000 0.7378
Si 0.0426 0.0000 0.8979
Si 0.0436 0.5000 0.6284
Si 0.1490 0.0000 0.9715
Si 0.1864 0.5000 0.2255

The 10 most intense peaks (10 to 90 degrees two-theta), by intensity:
2θ/deg, Rel. int.
42.39, 100
29.90, 95
30.62, 89
42.55, 69
49.13, 60
35.94, 52
33.92, 47
39.75, 42
21.10, 39
47.31, 37

=====

2.
Simulated powder X-ray diffraction pattern
Compound: Ca3Bi8Pd4
Radiation: Cu Kα
Structure: a DFT-relaxed cell (GGA-PBE, the Materials Project)
No peak broadening, texture or thermal motion is included.

Crystal structure
Cell: 10.9698 17.2268 4.2395 Å, 90.00 90.00 90.00°
Space group Pbam (No. 55)
Unique sites:
Ca 0.0000 0.0000 0.0000
Ca 0.1418 0.3011 0.0000
Bi 0.1068 0.1425 0.5000
Bi 0.1102 0.7135 0.5000
Bi 0.1297 0.5388 0.0000
Bi 0.1955 0.9143 0.5000
Pd 0.0464 0.4219 0.5000
Pd 0.0699 0.8245 0.0000

The 10 most intense peaks (10 to 90 degrees two-theta), by intensity:
2θ/deg, Rel. int.
30.68, 100
32.76, 42
42.65, 32
38.66, 27
30.87, 26
17.43, 23
34.01, 20
20.95, 19
57.19, 18
37.44, 18

=====

3.
Simulated powder X-ray diffraction pattern
Compound: BiCl3
Radiation: Cu Kα
Structure: a DFT-relaxed cell (GGA-PBE, the Materials Project)
No peak broadening, texture or thermal motion is included.

Crystal structure
Cell: 8.3732 8.8151 6.7882 Å, 90.00 90.00 90.00°
Space group Pnma (No. 62)
Unique sites:
Bi 0.0448 0.2500 0.0117
Cl 0.0706 0.7500 0.6496
Cl 0.1630 0.5605 0.1333

The 10 most intense peaks (10 to 90 degrees two-theta), by intensity:
2θ/deg, Rel. int.
16.81, 100
26.33, 57
29.43, 32
20.15, 28
33.30, 23
36.26, 22
46.39, 22
44.54, 20
21.22, 19
39.84, 16

=====

Repeat the second record exactly.
Simulated powder X-ray diffraction pattern
Compound: Ca3Bi8Pd4
Radiation: Cu Kα
Structure: a DFT-relaxed cell (GGA-PBE, the Materials Project)
No peak broadening, texture or thermal motion is included.

Crystal structure
Cell: 10.9698 17.2268 4.2395 Å, 90.00 90.00 90.00°
Space group Pbam (No. 55)
Unique sites:
Ca 0.0000 0.0000 0.0000
Ca 0.1418 0.3011 0.0000
Bi 0.1068 0.1425 0.5000
Bi 0.1102 0.7135 0.5000
Bi 0.1297 0.5388 0.0000
Bi 0.1955 0.9143 0.5000
Pd 0.0464 0.4219 0.5000
Pd 0.0699 0.8245 0.0000

The 10 most intense peaks (10 to 90 degrees two-theta), by intensity:
2θ/deg, Rel. int.
30.68, 100
32.76, 42
42.65, 32
38.66, 27
30.87, 26
17.43, 23
34.01, 20
20.95, 19
57.19, 18
37.44, 18